# LaHo2Cu6
Calculated powder X-ray diffraction pattern, CuKα. Input: a cell relaxed with GGA-PBE.
Kinematic intensities with the Lorentz-polarization factor, no thermal factor.

Crystal structure
```
LaHo2Cu6
1.0
7.3720 0.0000 0.0000
-3.6860 6.3843 0.0000
0.0000 0.0000 3.6491
La Ho Cu
1 2 6
Cartesian
0.0000 0.0000 0.0000 La
0.0000 4.2562 0.0000 Ho
3.6860 2.1281 0.0000 Ho
-1.2421 2.1513 1.8245 Cu
-2.4439 4.2330 1.8245 Cu
2.4841 0.0000 1.8245 Cu
1.2421 2.1513 1.8245 Cu
4.8879 0.0000 1.8245 Cu
2.4439 4.2330 1.8245 Cu
```

Main lines, in order of falling intensity (10° ≤ 2θ ≤ 90°):
Position (°2θ)	I (rel.)
34.59	100
42.48	48
55.89	25
67.64	23
72.64	22
24.14	18
49.99	10
77.72	8
83.74	8
56.26	4
49.45	3
88.25	2



# LiPuBO5
Calculated powder X-ray diffraction pattern, CuKα. Input: a cell relaxed with GGA-PBE.
Kinematic intensities with the Lorentz-polarization factor, no thermal factor.

Crystal structure
```
LiPuBO5
1.0
3.6697 -3.9601 0.0000
3.6697 3.9601 0.0000
-3.6032 0.0000 6.7984
Li Pu B O
2 2 2 10
Cartesian
0.9673 3.2103 5.0988 Li
2.7689 -3.2103 1.6996 Li
1.8349 1.9801 0.0000 Pu
0.0332 -1.9801 3.3992 Pu
0.9673 0.7397 5.0988 B
2.7689 -0.7397 1.6996 B
2.7689 2.7921 1.6996 O
0.0850 1.6386 5.8597 O
1.9492 0.1192 0.7849 O
0.1476 -0.1192 4.1841 O
1.8496 1.6386 4.3380 O
1.8866 -1.6386 2.4605 O
3.5887 0.1192 2.6143 O
1.7871 -0.1192 6.0135 O
3.6512 -1.6386 0.9388 O
0.9673 -2.7921 5.0988 O
```

Main lines, in order of falling intensity (10° ≤ 2θ ≤ 90°):
Position (°2θ)	I (rel.)
17.76	100
25.60	56
22.45	29
27.74	25
34.78	19
36.80	16
26.22	15
43.74	15
49.79	14
41.39	14
27.51	14
39.04	13



# BaNa2NpO4
Calculated powder X-ray diffraction pattern, CuKα. Input: a cell relaxed with GGA-PBE.
Kinematic intensities with the Lorentz-polarization factor, no thermal factor.

Crystal structure
```
BaNa2NpO4
1.0
-2.3884 2.3884 6.0023
2.3884 -2.3884 6.0023
2.3884 2.3884 -6.0023
Ba Na Np O
1 2 1 4
Cartesian
0.0000 0.0000 0.0000 Ba
0.0000 0.0000 6.0023 Na
0.0000 2.3884 3.0011 Na
2.3884 0.0000 3.0011 Np
2.3884 0.0000 0.8544 O
0.0000 0.0000 2.9004 O
2.3884 0.0000 5.1479 O
0.0000 0.0000 9.1041 O
```

Main lines, in order of falling intensity (10° ≤ 2θ ≤ 90°):
Position (°2θ)	I (rel.)
20.01	100
30.36	76
37.66	38
48.73	30
29.77	30
43.00	28
29.11	26
53.21	21
63.51	20
42.12	17
48.29	14
63.17	14



# ThSi2Ge2Pt7
Calculated powder X-ray diffraction pattern, CuKα. Input: a cell relaxed with GGA-PBE.
Kinematic intensities with the Lorentz-polarization factor, no thermal factor.

Crystal structure
```
ThSi2Ge2Pt7
1.0
2.8214 -2.8091 0.0000
2.8214 2.8091 0.0000
-1.4543 0.0000 14.6623
Th Si Ge Pt
1 2 2 7
Cartesian
0.0000 0.0000 0.0000 Th
1.3446 0.0000 10.9381 Si
2.8440 0.0000 3.7242 Si
0.2501 0.0000 6.2406 Ge
3.9384 0.0000 8.4217 Ge
1.4303 1.4030 2.3299 Pt
1.4347 0.0000 8.6136 Pt
2.7582 1.4030 12.3324 Pt
2.8214 0.0000 0.0000 Pt
1.4303 -1.4030 2.3299 Pt
2.7538 0.0000 6.0487 Pt
2.7582 -1.4030 12.3324 Pt
```

Main lines, in order of falling intensity (10° ≤ 2θ ≤ 90°):
Position (°2θ)	I (rel.)
35.30	100
45.68	72
36.91	57
34.18	44
30.48	39
43.19	28
12.07	26
77.67	21
66.29	19
40.46	16
49.43	14
42.31	14



# Pm6P2S3
Calculated powder X-ray diffraction pattern, CuKα. Input: a cell relaxed with GGA-PBE.
Kinematic intensities with the Lorentz-polarization factor, no thermal factor.

Crystal structure
```
Pm6P2S3
1.0
6.8871 0.0000 0.0000
-3.4436 5.9644 0.0000
0.0000 0.0000 6.8756
Pm P S
6 2 3
Cartesian
-1.1559 2.0021 1.6766 Pm
-2.2877 3.9624 5.1990 Pm
2.3118 0.0000 1.6766 Pm
1.1559 2.0021 5.1990 Pm
4.5753 0.0000 5.1990 Pm
2.2877 3.9624 1.6766 Pm
0.0000 3.9763 0.0000 P
3.4436 1.9881 0.0000 P
0.0000 0.0000 0.0000 S
0.0000 3.9763 3.4378 S
3.4436 1.9881 3.4378 S
```

Main lines, in order of falling intensity (10° ≤ 2θ ≤ 90°):
Position (°2θ)	I (rel.)
29.00	100
36.95	33
25.90	28
45.63	27
47.66	26
53.24	24
54.98	17
72.72	14
74.15	14
60.12	10
85.87	10
68.12	9



# CsTl6Se4
Calculated powder X-ray diffraction pattern, CuKα. Input: a cell relaxed with GGA-PBE.
Kinematic intensities with the Lorentz-polarization factor, no thermal factor.

Crystal structure
```
CsTl6Se4
1.0
5.4413 -6.3588 0.0000
5.4413 6.3588 0.0000
-5.1179 0.0000 5.8997
Cs Tl Se
1 6 4
Cartesian
0.0000 0.0000 0.0000 Cs
0.4147 3.0527 3.0074 Tl
-1.4094 0.0000 4.4343 Tl
2.0575 1.9306 5.8969 Tl
0.4147 -3.0527 3.0074 Tl
4.1566 0.0000 1.7937 Tl
2.0575 -1.9306 5.8969 Tl
4.3005 2.9320 0.0756 Se
1.4145 0.0000 3.3605 Se
4.3005 -2.9320 0.0756 Se
7.3775 0.0000 2.2782 Se
```

Main lines, in order of falling intensity (10° ≤ 2θ ≤ 90°):
Position (°2θ)	I (rel.)
27.07	100
33.48	80
38.42	78
23.90	70
31.79	66
32.63	64
28.07	63
21.51	60
26.86	57
24.66	54
25.81	53
35.67	46